Calculated powder X-ray diffraction pattern
Compound: Rb3ErI6
Radiation: Cu Kα
Structure: a DFT-relaxed cell (GGA-PBE, OQMD)
Peak positions follow from Bragg's law for the DFT cell and can differ from measured ones.

Largest 6 diffraction maxima, in order of rising 2θ, 10° ≤ 2θ ≤ 90°:
| Position (°2θ) | I/Imax | h k l |
| --- | --- | --- |
| 11.9 | 644 | 0 1 1 |
| 23.6 | 878 | 1 0 2 |
| 23.9 | 679 | 2 1 -3 |
| 28.2 | 689 | 2 2 -2 |
| 31.5 | 1000 | 2 2 0 |
| 35.4 | 660 | 3 1 -1 |

Structural model:
Unit cell a=8.6765 b=9.2748 c=15.0345 alpha=90.00 beta=124.23 gamma=90.00
Positions (direct):
Rb: 0.0000 0.0000 0.0000
Rb: 0.0000 0.5000 0.5000
Rb: 0.2109 0.0844 0.7455
Rb: 0.2109 0.4156 0.2455
Rb: 0.7891 0.5844 0.7545
Rb: 0.7891 0.9156 0.2545
Er: 0.5000 0.0000 0.5000
Er: 0.5000 0.5000 0.0000
I: 0.1615 0.1738 0.4430
I: 0.1615 0.3262 0.9430
I: 0.2678 0.7261 0.4275
I: 0.2678 0.7739 0.9275
I: 0.4062 0.0476 0.2759
I: 0.4062 0.4524 0.7759
I: 0.5938 0.5476 0.2241
I: 0.5938 0.9524 0.7241
I: 0.7322 0.2261 0.0725
I: 0.7322 0.2739 0.5725
I: 0.8385 0.6738 0.0570
I: 0.8385 0.8262 0.5570